Structure and calculated X-ray diffraction stick pattern of LiV2N3 (DFT lattice parameters and positions (PBE); Cu Kα X-rays).

```
LiV2N3
1.0
5.034 -2.976 0.000
5.034 2.976 0.000
0.000 0.000 4.110
Li V N
2 4 6
Direct
0.152 0.848 0.750
0.848 0.152 0.250
0.175 0.494 0.250
0.494 0.175 0.750
0.506 0.825 0.250
0.825 0.506 0.750
0.163 0.482 0.750
0.213 0.787 0.250
0.482 0.163 0.250
0.518 0.837 0.750
0.787 0.213 0.750
0.837 0.518 0.250
```

Top 10 peaks for 5 to 70 degrees two-theta, by angle:
two_theta  intensity
17.31  59.4
17.62  80.2
27.83  81.4
30.02  43.7
30.58  100.0
37.30  43.2
37.76  56.5
44.07  61.9
53.66  57.7
54.59  31.1

Structure and calculated X-ray diffraction stick pattern of Li7VN4 (DFT lattice parameters and positions (PBE); Cu Kα X-rays).

```
Li7VN4
1.0
6.778 0.000 0.000
0.000 6.778 0.000
0.000 0.000 4.895
Li V N
14 2 8
Direct
0.013 0.513 0.250
0.013 0.987 0.250
0.250 0.250 0.163
0.250 0.250 0.663
0.250 0.750 0.250
0.487 0.513 0.250
0.487 0.987 0.250
0.513 0.013 0.750
0.513 0.487 0.750
0.750 0.250 0.750
0.750 0.750 0.337
0.750 0.750 0.837
0.987 0.013 0.750
0.987 0.487 0.750
0.250 0.750 0.750
0.750 0.250 0.250
0.025 0.750 0.538
0.250 0.525 0.962
0.250 0.975 0.962
0.475 0.750 0.538
0.525 0.250 0.462
0.750 0.025 0.038
0.750 0.475 0.038
0.975 0.250 0.462
```

Top 10 peaks for 5 to 70 degrees two-theta, by angle:
two_theta  intensity
18.51  90.1
22.40  100.0
26.30  27.3
32.12  40.1
34.81  39.9
41.43  13.0
44.15  16.0
53.52  44.0
54.12  24.1
57.12  15.2

Structure and calculated X-ray diffraction stick pattern of Li3W2N5 (DFT lattice parameters and positions (PBE); Cu Kα X-rays).

```
Li3W2N5
1.0
-5.756 5.756 4.203
5.756 -5.756 4.203
5.756 5.756 -4.203
Li W N
12 8 20
Direct
0.000 0.000 0.000
0.026 0.869 0.659
0.100 0.600 0.500
0.117 0.276 0.657
0.210 0.367 0.341
0.269 0.675 0.268
0.350 0.350 0.000
0.407 0.001 0.732
0.425 0.657 0.906
0.619 0.460 0.343
0.750 0.250 0.500
0.751 0.519 0.094
0.015 0.627 0.812
0.240 0.007 0.392
0.377 0.064 0.112
0.598 0.490 0.733
0.615 0.848 0.608
0.757 0.865 0.267
0.814 0.202 0.188
0.952 0.265 0.888
0.019 0.984 0.299
0.025 0.351 0.122
0.034 0.134 0.835
0.101 0.479 0.825
0.180 0.869 0.514
0.229 0.903 0.878
0.299 0.199 0.165
0.313 0.908 0.235
0.356 0.666 0.486
0.416 0.430 0.811
0.470 0.269 0.535
0.619 0.606 0.189
0.653 0.275 0.175
0.658 0.923 0.095
0.673 0.078 0.765
0.685 0.720 0.701
0.734 0.935 0.465
0.828 0.563 0.905
0.884 0.549 0.600
0.949 0.284 0.400
```

Top 10 peaks for 5 to 70 degrees two-theta, by angle:
two_theta  intensity
13.04  21.2
20.23  100.0
23.83  9.9
32.54  55.4
34.85  20.3
36.51  18.1
40.63  25.3
51.36  14.7
56.53  12.3
61.03  14.4

Structure and calculated X-ray diffraction stick pattern of Li3ZrN2 (DFT lattice parameters and positions (PBE); Cu Kα X-rays).

```
Li3ZrN2
1.0
-5.093 5.093 5.093
5.093 -5.093 5.093
5.093 5.093 -5.093
Li Zr N
24 8 16
Direct
0.000 0.062 0.769
0.000 0.938 0.231
0.061 0.500 0.268
0.062 0.769 0.000
0.207 0.768 0.269
0.231 0.000 0.938
0.232 0.731 0.793
0.268 0.061 0.500
0.269 0.207 0.768
0.293 0.562 0.561
0.438 0.439 0.707
0.439 0.707 0.438
0.500 0.268 0.061
0.500 0.732 0.939
0.561 0.293 0.562
0.562 0.561 0.293
0.707 0.438 0.439
0.731 0.793 0.232
0.732 0.939 0.500
0.768 0.269 0.207
0.769 0.000 0.062
0.793 0.232 0.731
0.938 0.231 0.000
0.939 0.500 0.732
0.000 0.243 0.500
0.000 0.757 0.500
0.243 0.500 0.000
0.257 0.257 0.257
0.500 0.000 0.243
0.500 0.000 0.757
0.743 0.743 0.743
0.757 0.500 0.000
0.000 0.000 0.500
0.000 0.500 0.000
0.008 0.250 0.258
0.242 0.492 0.750
0.250 0.258 0.008
0.250 0.758 0.508
0.258 0.008 0.250
0.492 0.750 0.242
0.500 0.000 0.000
0.500 0.500 0.500
0.508 0.250 0.758
0.742 0.992 0.750
0.750 0.242 0.492
0.750 0.742 0.992
0.758 0.508 0.250
0.992 0.750 0.742
```

Top 10 peaks for 5 to 70 degrees two-theta, by angle:
two_theta  intensity
21.37  100.0
30.40  5.6
32.90  73.2
35.24  21.8
41.58  22.5
48.98  17.4
50.69  38.6
55.62  21.3
61.76  13.1
67.58  18.2